For TiP4O12, the GGA-PBE geometry in the Materials Project gives the computed powder diffractogram in this record (a wavelength of 1.5418 Å).
Peak positions follow from Bragg's law for the DFT cell and can differ from measured ones.

Largest 12 diffraction maxima, in order of falling intensity, 2θ = 5–70°:
hkl  Position (°2θ)  intensity
0 2 2  29.5  100.0
1 1 -2  20.5  72.4
2 2 0  27.7  68.3
2 0 -2  18.9  67.6
3 1 0  28.2  49.0
2 0 0  17.3  31.6
3 1 -2  26.1  31.5
4 0 0  35.0  20.9
1 1 -3  29.1  17.8
1 3 -3  42.7  16.7
2 2 -1  26.4  16.3
1 1 0  13.8  15.9

a = 11.813 Å, b = 8.267 Å, c = 10.209 Å
α = 90.00°, β = 119.72°, γ = 90.00°
Space group C2/c (No. 15)
One atom of each set of equivalent atoms:
Ti 0.000 0.060 0.250 x4
P 0.010 0.258 0.979 x8
P 0.203 0.486 0.198 x8
O 0.029 0.220 0.404 x8
O 0.031 0.118 0.899 x8
O 0.091 0.377 0.645 x8
O 0.143 0.359 0.057 x8
O 0.183 0.059 0.311 x8
O 0.227 0.417 0.342 x8

---

For TiP4O12, the GGA-PBE geometry in the Materials Project gives the computed powder diffractogram in this record (a wavelength of 1.5418 Å).
Peak positions follow from Bragg's law for the DFT cell and can differ from measured ones.

Largest 12 diffraction maxima, in order of falling intensity, 2θ = 5–70°:
hkl  Position (°2θ)  intensity
0 2 2  29.6  100.0
2 0 -2  19.3  59.5
1 1 1  18.7  56.5
1 1 2  26.9  56.0
3 1 -1  24.1  41.2
1 1 -1  14.5  40.4
1 1 0  13.4  38.4
3 1 0  26.3  32.1
0 0 2  20.0  24.2
3 1 -3  31.2  19.7
4 0 0  32.0  18.3
1 3 -3  43.3  14.8

a = 12.432 Å, b = 8.218 Å, c = 9.892 Å
α = 90.00°, β = 115.99°, γ = 90.00°
Space group C2/c (No. 15)
One atom of each set of equivalent atoms:
Ti 0.250 0.250 0.000 x4
P 0.005 0.246 0.033 x8
P 0.175 0.017 0.686 x8
O 0.012 0.392 0.395 x8
O 0.063 0.096 0.156 x8
O 0.080 0.246 0.943 x8
O 0.124 0.168 0.575 x8
O 0.226 0.081 0.845 x8
O 0.236 0.425 0.854 x8

---

Which formula does entry 1 have? TiP4O12